# 1
For Ag5Ir2F12, a cell relaxed with PBE gives the simulated PXRD pattern in this record (Cu Ka).
Peak positions follow from Bragg's law for the DFT cell and can differ from measured ones.

Principal peaks in the range 2θ from 10° to 90°, by intensity:
Position (°2θ)	Rel. int.	index
16.21	100	2 0 -1
26.04	100	3 1 0
23.77	89	2 0 -2
30.13	82	0 2 1
20.39	60	2 0 1
31.63	59	2 2 0

Cell: 12.466 6.396 8.163 Å, 90.00 103.41 90.00°
Space group C2/m (No. 12)
Asymmetric unit:
Ag 0.000 0.000 0.000 [2 per cell]
Ag 0.204 0.500 0.878 [4 per cell]
Ag 0.216 0.500 0.239 [4 per cell]
Ir 0.000 0.250 0.500 [4 per cell]
F 0.026 0.500 0.357 [4 per cell]
F 0.027 0.000 0.358 [4 per cell]
F 0.133 0.239 0.054 [8 per cell]
F 0.160 0.257 0.625 [8 per cell]

# 2
For LaPa2MnN5, a cell relaxed with PBE gives the simulated PXRD pattern in this record (Cu Ka).
Peak positions follow from Bragg's law for the DFT cell and can differ from measured ones.

Principal peaks in the range 2θ from 10° to 90°, by intensity:
Position (°2θ)	Rel. int.	index
31.44	100	2 0 2
31.31	93	2 1 1
38.86	77	2 1 3
31.95	45	0 0 4
15.82	45	0 0 2
58.17	35	4 1 1

Cell: 6.607 6.607 11.203 Å, 90.00 90.00 90.00°
Space group I4/mcm (No. 140)
Asymmetric unit:
La 0.000 0.000 0.250 [4 per cell]
Pa 0.174 0.326 0.000 [8 per cell]
Mn 0.000 0.500 0.250 [4 per cell]
N 0.000 0.000 0.000 [4 per cell]
N 0.147 0.353 0.366 [16 per cell]

# 3
For BC3, a cell relaxed with PBE gives the simulated PXRD pattern in this record (Cu Ka).
Peak positions follow from Bragg's law for the DFT cell and can differ from measured ones.

Principal peaks in the range 2θ from 10° to 90°, by intensity:
Position (°2θ)	Rel. int.	index
41.93	100	0 1 2
12.61	60	0 0 2
18.96	39	0 0 3
72.30	32	1 1 0
45.21	29	0 0 7
73.77	27	0 1 9

Cell: 2.6138 2.6138 14.0383 Å, 90.00 90.00 120.00°
Space group P3m1 (No. 156)
Asymmetric unit:
B 0.0000 0.0000 0.0000 [1 per cell]
B 0.0000 0.0000 0.2501 [1 per cell]
B 0.3333 0.6667 0.8268 [1 per cell]
C 0.0000 0.0000 0.5654 [1 per cell]
C 0.0000 0.0000 0.6757 [1 per cell]
C 0.3333 0.6667 0.2651 [1 per cell]
C 0.3333 0.6667 0.3823 [1 per cell]
C 0.3333 0.6667 0.7123 [1 per cell]
C 0.6667 0.3333 0.4185 [1 per cell]
C 0.6667 0.3333 0.5289 [1 per cell]
C 0.6667 0.3333 0.8753 [1 per cell]
C 0.6667 0.3333 0.9862 [1 per cell]

# 4
For Ac2Zn2Sn3, a cell relaxed with PBE gives the simulated PXRD pattern in this record (Cu Ka).
Peak positions follow from Bragg's law for the DFT cell and can differ from measured ones.

Principal peaks in the range 2θ from 10° to 90°, by intensity:
Position (°2θ)	Rel. int.	index
30.74	100	1 1 2
29.90	81	1 5 1
36.97	43	2 0 0
62.78	35	1 11 3
27.08	25	0 6 1
40.23	24	0 4 3

Cell: 4.863 22.094 7.358 Å, 90.00 90.00 90.00°
Space group Cmcm (No. 63)
Asymmetric unit:
Ac 0.000 0.035 0.250 [4 per cell]
Ac 0.000 0.166 0.750 [4 per cell]
Zn 0.000 0.307 0.551 [8 per cell]
Sn 0.000 0.211 0.250 [4 per cell]
Sn 0.000 0.427 0.051 [8 per cell]

# 5
For Ba2LiHg10, a cell relaxed with PBE gives the simulated PXRD pattern in this record (Cu Ka).
Peak positions follow from Bragg's law for the DFT cell and can differ from measured ones.

Principal peaks in the range 2θ from 10° to 90°, by intensity:
Position (°2θ)	Rel. int.	index
13.41	100	0 0 1
39.47	94	3 4 0
31.37	91	2 0 2
32.49	86	4 1 0
35.07	65	1 4 1
32.31	50	2 1 2

Cell: 11.356 11.457 6.603 Å, 90.00 90.00 90.00°
Space group Pbam (No. 55)
Asymmetric unit:
Ba 0.162 0.140 0.000 [4 per cell]
Li 0.000 0.500 0.500 [2 per cell]
Hg 0.054 0.667 0.219 [8 per cell]
Hg 0.056 0.883 0.500 [4 per cell]
Hg 0.173 0.304 0.500 [4 per cell]
Hg 0.241 0.553 0.500 [4 per cell]

# 6
For YbZrF7, a cell relaxed with PBE gives the simulated PXRD pattern in this record (Cu Ka).
Peak positions follow from Bragg's law for the DFT cell and can differ from measured ones.

Principal peaks in the range 2θ from 10° to 90°, by intensity:
Position (°2θ)	Rel. int.	index
21.28	100	1 1 0
21.84	37	0 0 2
28.14	31	1 1 -2
25.44	27	1 1 1
43.02	17	2 2 -1
46.55	16	2 2 1

Cell: 6.077 5.884 8.346 Å, 90.00 102.73 90.00°
Space group P2_1 (No. 4)
Asymmetric unit:
Yb 0.154 0.000 0.190 [2 per cell]
Zr 0.318 0.001 0.725 [2 per cell]
F 0.007 0.743 0.003 [2 per cell]
F 0.083 0.749 0.709 [2 per cell]
F 0.089 0.259 0.710 [2 per cell]
F 0.268 0.000 0.476 [2 per cell]
F 0.361 0.001 0.974 [2 per cell]
F 0.429 0.265 0.257 [2 per cell]
F 0.430 0.737 0.258 [2 per cell]

# 7
For MgHgRhSe2, a cell relaxed with PBE gives the simulated PXRD pattern in this record (Cu Ka).
Peak positions follow from Bragg's law for the DFT cell and can differ from measured ones.

Principal peaks in the range 2θ from 10° to 90°, by intensity:
Position (°2θ)	Rel. int.	index
24.51	100	1 0 1
33.90	68	2 0 0
42.28	48	2 1 1
50.24	44	2 0 2
17.75	35	0 0 1
35.94	29	0 0 2

Cell: 5.288 5.288 4.997 Å, 90.00 90.00 90.00°
Space group P4/mmm (No. 123)
Asymmetric unit:
Mg 0.000 0.000 0.000 [1 per cell]
Hg 0.000 0.000 0.500 [1 per cell]
Rh 0.500 0.500 0.000 [1 per cell]
Se 0.000 0.500 0.500 [2 per cell]

# 8
For Sm2Dy4S9, a cell relaxed with PBE gives the simulated PXRD pattern in this record (Cu Ka).
Peak positions follow from Bragg's law for the DFT cell and can differ from measured ones.

Principal peaks in the range 2θ from 10° to 90°, by intensity:
Position (°2θ)	Rel. int.	index
25.55	100	1 1 0
24.15	100	0 1 4
38.87	81	1 1 6
45.04	49	3 0 0
35.45	48	2 0 4
44.21	48	1 2 4

Cell: 6.9719 6.9719 18.6054 Å, 90.00 90.00 120.00°
Space group P-3c1 (No. 165)
Asymmetric unit:
Sm 0.0000 0.0000 0.1470 [4 per cell]
Dy 0.3333 0.6667 0.1847 [4 per cell]
Dy 0.3333 0.6667 0.4839 [4 per cell]
S 0.0000 0.3040 0.2500 [6 per cell]
S 0.0312 0.3743 0.5836 [12 per cell]

# 9
For NaBeFeH6, a cell relaxed with PBE gives the simulated PXRD pattern in this record (Cu Ka).
Peak positions follow from Bragg's law for the DFT cell and can differ from measured ones.

Principal peaks in the range 2θ from 10° to 90°, by intensity:
Position (°2θ)	Rel. int.	index
32.20	100	1 1 1
30.46	44	0 2 1
18.91	33	0 0 1
25.82	31	1 1 0
23.67	27	0 2 0
42.95	26	1 3 0

Cell: 3.883 7.519 4.694 Å, 90.00 90.07 90.00°
Space group C2 (No. 5)
Asymmetric unit:
Na 0.000 0.000 0.000 [2 per cell]
Be 0.000 0.318 0.500 [2 per cell]
Fe 0.000 0.638 0.500 [2 per cell]
H 0.004 0.482 0.273 [4 per cell]
H 0.216 0.742 0.282 [4 per cell]
H 0.223 0.737 0.720 [4 per cell]

# 10
For Ho3In4, a cell relaxed with PBE gives the simulated PXRD pattern in this record (Cu Ka).
Peak positions follow from Bragg's law for the DFT cell and can differ from measured ones.

Principal peaks in the range 2θ from 10° to 90°, by intensity:
Position (°2θ)	Rel. int.	index
34.61	100	1 1 0
34.30	100	0 1 8
61.83	36	1 2 8
49.52	35	2 0 8
62.03	18	3 0 0
61.23	17	1 0 16

Cell: 5.1832 5.1832 25.7295 Å, 90.00 90.00 120.00°
Space group R-3m (No. 166, hexagonal axes)
Asymmetric unit:
Ho 0.0000 0.0000 0.0000 [3 per cell]
Ho 0.0000 0.0000 0.2471 [6 per cell]
In 0.0000 0.0000 0.1275 [6 per cell]
In 0.0000 0.0000 0.3803 [6 per cell]

# 11
For CsAl2Re, a cell relaxed with PBE gives the simulated PXRD pattern in this record (Cu Ka).
Peak positions follow from Bragg's law for the DFT cell and can differ from measured ones.

Principal peaks in the range 2θ from 10° to 90°, by intensity:
Position (°2θ)	Rel. int.	index
22.56	100	1 1 2
26.06	35	2 0 0
43.94	35	3 1 2
37.30	27	2 0 4
46.07	21	2 2 4
44.12	17	1 1 6

Cell: 6.838 6.838 13.601 Å, 90.00 90.00 90.00°
Space group I4_1/amd (No. 141, origin choice 2)
Asymmetric unit:
Cs 0.000 0.250 0.375 [4 per cell]
Al 0.000 0.000 0.000 [8 per cell]
Re 0.000 0.250 0.875 [4 per cell]

# 12
For NaLuI2, a cell relaxed with PBE gives the simulated PXRD pattern in this record (Cu Ka).
Peak positions follow from Bragg's law for the DFT cell and can differ from measured ones.

Principal peaks in the range 2θ from 10° to 90°, by intensity:
Position (°2θ)	Rel. int.	index
24.58	100	1 0 1
25.14	58	0 1 2
39.21	47	1 0 10
42.93	37	1 1 0
51.53	26	1 1 9
27.14	26	0 0 9

Cell: 4.2132 4.2132 29.5747 Å, 90.00 90.00 120.00°
Space group R-3m (No. 166, hexagonal axes)
Asymmetric unit:
Na 0.0000 0.0000 0.0000 [3 per cell]
Lu 0.0000 0.0000 0.5000 [3 per cell]
I 0.0000 0.0000 0.4003 [6 per cell]